This entry pairs a crystal structure of Co6OF11 with its theoretical powder diffraction line list. Radiation: Cu Kα (λ = 1.5418 Å). Structure: a cell relaxed with PBE+U.
Lines closer than 0.1° are merged.

Structural model:
Lattice parameters (Å, degrees): 4.7355 5.7097 7.9428 87.21 89.47 88.94
Positions (direct):
Co: 0.0000 0.0000 0.0000
Co: 0.0016 0.3325 0.6687
Co: 0.0255 0.6498 0.3257
Co: 0.4858 0.5049 0.0117
Co: 0.4907 0.1767 0.3326
Co: 0.5114 0.8273 0.6623
O: 0.2968 0.4665 0.2352
F: 0.1952 0.6344 0.5650
F: 0.1970 0.9611 0.2336
F: 0.2001 0.2930 0.9001
F: 0.3039 0.7960 0.8955
F: 0.3128 0.1304 0.5661
F: 0.6950 0.5306 0.7750
F: 0.6974 0.2036 0.1030
F: 0.7121 0.8638 0.4269
F: 0.8033 0.7041 0.1026
F: 0.8035 0.3741 0.4366
F: 0.8079 0.0302 0.7668

Principal peaks in the range 2θ = 10–90°, in order of rising 2θ:
hkl	2θ (°)	Rel. int.
1 1 1	26.3	100
-1 1 1	26.9	94
0 2 -1	33.9	83
1 -1 2	34.0	28
1 0 3	38.8	18
1 3 0	51.5	51
2 0 3	51.6	17
2 0 -3	52.1	30
2 -2 1	52.2	30
2 2 2	54.2	19
0 2 -4	57.9	21
0 4 1	66.0	34